Starting from a crystal structure in Alexandria, relaxed with GGA-PBE, the powder X-ray diffraction pattern of Ba7Sb6 was simulated for Cu Kα (weighted mean of Kα1 and Kα2).

Peak list (10 most intense, 10 to 90 degrees two-theta, by angle)
two_theta, intensity, h k l
22.60, 67, 1 1 0
26.30, 75, 0 2 1
27.63, 82, 1 1 6
29.34, 63, 2 0 5
31.67, 48, 0 0 12
32.12, 100, 0 2 7
33.76, 55, 2 0 8
39.26, 39, 1 1 12
46.16, 71, 2 2 0
57.06, 56, 2 2 12

Cell lengths 7.8665, 7.8665, 33.9061 Å; angles 90.00, 90.00, 120.00 degrees
Space group R-3m (No. 166, hexagonal axes)
Unique sites:
1 Ba 0.0000 0.0000 0.0000
2 Ba 0.0119 0.5059 0.4280
3 Sb 0.0000 0.0000 0.1647
4 Sb 0.0000 0.0000 0.3307
5 Sb 0.0000 0.0000 0.4150